No. 1
This entry pairs a crystal structure of ThAlAu6 with its theoretical powder diffraction line list. Radiation: λ = 1.5418 Å (Cu Kα). Structure: DFT lattice parameters and positions (PBE).

Atomic structure:
```
data_ThAlAu6
_chemical_formula_sum 'Th3 Al3 Au18'
_symmetry_space_group_name_H-M 'R -3 m'
_symmetry_Int_Tables_number 166
_symmetry_space_group_name_Hall '-R 3 2"'
_cell_length_a 5.6053
_cell_length_b 5.6053
_cell_length_c 21.0150
_cell_angle_alpha 90.00
_cell_angle_beta 90.00
_cell_angle_gamma 120.00
loop_
_atom_site_label
_atom_site_type_symbol
_atom_site_fract_x
_atom_site_fract_y
_atom_site_fract_z
_atom_site_occupancy
Th1 Th 0.0000 0.0000 0.0000 1
Al1 Al 0.0000 0.0000 0.5000 1
Au1 Au 0.0054 0.5027 0.9269 1
```

Largest 8 diffraction maxima, sorted by position, 2θ from 10° to 90°:
(hkl)  2θ (°)  d/Å  Rel. int.
0 0 3  12.64  7.005  48
0 0 6  25.43  3.502  40
1 0 7  35.15  2.553  26
0 2 1  37.29  2.411  100
2 0 2  38.05  2.365  56
1 1 6  41.26  2.188  36
0 2 7  48.21  1.887  30
2 2 0  66.76  1.401  30

***

No. 2
This entry pairs a crystal structure of ThAl3Au10 with its theoretical powder diffraction line list. Radiation: λ = 1.5418 Å (Cu Kα). Structure: DFT lattice parameters and positions (PBE).

Atomic structure:
```
data_ThAl3Au10
_chemical_formula_sum 'Th2 Al6 Au20'
_symmetry_space_group_name_H-M 'P -1'
_symmetry_Int_Tables_number 2
_symmetry_space_group_name_Hall '-P 1'
_cell_length_a 8.0982
_cell_length_b 8.8203
_cell_length_c 9.7424
_cell_angle_alpha 65.72
_cell_angle_beta 68.26
_cell_angle_gamma 66.06
loop_
_atom_site_label
_atom_site_type_symbol
_atom_site_fract_x
_atom_site_fract_y
_atom_site_fract_z
_atom_site_occupancy
Th1 Th 0.2356 0.2210 0.3182 1
Al1 Al 0.2293 0.2606 0.8245 1
Al2 Al 0.2650 0.8488 0.6841 1
Al3 Al 0.2903 0.6603 0.2689 1
Au1 Au 0.0739 0.1752 0.6839 1
Au2 Au 0.0811 0.1048 0.1163 1
Au3 Au 0.1240 0.5777 0.8176 1
Au4 Au 0.1424 0.6150 0.0948 1
Au5 Au 0.1559 0.8540 0.4631 1
Au6 Au 0.1585 0.4957 0.5484 1
Au7 Au 0.3155 0.8960 0.9158 1
Au8 Au 0.4410 0.9005 0.1582 1
Au9 Au 0.4615 0.1472 0.5598 1
Au10 Au 0.4803 0.5750 0.8422 1
```

Largest 8 diffraction maxima, sorted by position, 2θ from 10° to 90°:
(hkl)  2θ (°)  d/Å  Rel. int.
0 2 3  32.72  2.737  69
2 2 -1  34.75  2.582  77
2 0 3  34.91  2.570  98
1 2 -2  37.35  2.407  100
3 1 3  38.33  2.348  77
3 3 3  39.93  2.258  62
-2 2 1  40.31  2.237  63
2 4 3  42.87  2.110  88

***

No. 3
This entry pairs a crystal structure of Th2TiAl4Au3 with its theoretical powder diffraction line list. Radiation: λ = 1.5418 Å (Cu Kα). Structure: DFT lattice parameters and positions (PBE).

Atomic structure:
```
data_Th2TiAl4Au3
_chemical_formula_sum 'Th2 Ti1 Al4 Au3'
_symmetry_space_group_name_H-M 'P -4 m 2'
_symmetry_Int_Tables_number 115
_symmetry_space_group_name_Hall 'P -4 -2'
_cell_length_a 4.3348
_cell_length_b 4.3348
_cell_length_c 10.9291
_cell_angle_alpha 90.00
_cell_angle_beta 90.00
_cell_angle_gamma 90.00
loop_
_atom_site_label
_atom_site_type_symbol
_atom_site_fract_x
_atom_site_fract_y
_atom_site_fract_z
_atom_site_occupancy
Th1 Th 0.0000 0.5000 0.2485 1
Ti1 Ti 0.5000 0.5000 0.0000 1
Al1 Al 0.0000 0.0000 0.5000 1
Al2 Al 0.0000 0.5000 0.8587 1
Al3 Al 0.5000 0.5000 0.5000 1
Au1 Au 0.0000 0.0000 0.0000 1
Au2 Au 0.0000 0.5000 0.6280 1
```

Largest 8 diffraction maxima, sorted by position, 2θ from 10° to 90°:
(hkl)  2θ (°)  d/Å  Rel. int.
1 0 2  26.24  3.396  43
1 1 0  29.13  3.065  40
1 1 1  30.28  2.951  38
1 0 3  32.09  2.789  100
1 1 2  33.52  2.673  95
2 0 0  41.67  2.167  63
1 0 5  46.53  1.952  43
2 1 3  53.55  1.711  49

***

No. 4
This entry pairs a crystal structure of Ti5AlAu with its theoretical powder diffraction line list. Radiation: λ = 1.5418 Å (Cu Kα). Structure: DFT lattice parameters and positions (PBE).

Atomic structure:
```
data_Ti5AlAu
_chemical_formula_sum 'Ti20 Al4 Au4'
_symmetry_space_group_name_H-M 'C 1 2/c 1'
_symmetry_Int_Tables_number 15
_symmetry_space_group_name_Hall '-C 2yc'
_cell_length_a 8.1814
_cell_length_b 10.0310
_cell_length_c 6.3559
_cell_angle_alpha 90.00
_cell_angle_beta 110.70
_cell_angle_gamma 90.00
loop_
_atom_site_label
_atom_site_type_symbol
_atom_site_fract_x
_atom_site_fract_y
_atom_site_fract_z
_atom_site_occupancy
Ti1 Ti 0.0000 0.0887 0.2500 1
Ti2 Ti 0.0626 0.3585 0.0848 1
Ti3 Ti 0.2339 0.4361 0.8606 1
Al1 Al 0.0000 0.1748 0.7500 1
Au1 Au 0.2500 0.2500 0.5000 1
```

Largest 8 diffraction maxima, sorted by position, 2θ from 10° to 90°:
(hkl)  2θ (°)  d/Å  Rel. int.
1 1 -1  17.69  5.015  100
1 3 -1  30.88  2.895  36
3 1 -1  34.18  2.624  21
1 3 1  34.79  2.579  51
0 2 2  35.09  2.557  22
3 3 -1  42.88  2.109  22
2 4 0  43.13  2.097  21
2 4 -2  48.00  1.895  26

***

No. 5
This entry pairs a crystal structure of TiAl2Au4 with its theoretical powder diffraction line list. Radiation: λ = 1.5418 Å (Cu Kα). Structure: DFT lattice parameters and positions (PBE).

Atomic structure:
```
data_TiAl2Au4
_chemical_formula_sum 'Ti4 Al8 Au16'
_symmetry_space_group_name_H-M 'C m c m'
_symmetry_Int_Tables_number 63
_symmetry_space_group_name_Hall '-C 2c 2'
_cell_length_a 4.5531
_cell_length_b 7.8754
_cell_length_c 13.4279
_cell_angle_alpha 90.00
_cell_angle_beta 90.00
_cell_angle_gamma 90.00
loop_
_atom_site_label
_atom_site_type_symbol
_atom_site_fract_x
_atom_site_fract_y
_atom_site_fract_z
_atom_site_occupancy
Ti1 Ti 0.0000 0.0011 0.2500 1
Al1 Al 0.0000 0.3336 0.0611 1
Au1 Au 0.0000 0.0000 0.0000 1
Au2 Au 0.0000 0.3324 0.6351 1
Au3 Au 0.0000 0.3346 0.2500 1
```

Largest 8 diffraction maxima, sorted by position, 2θ from 10° to 90°:
(hkl)  2θ (°)  d/Å  Rel. int.
1 1 2  26.22  3.398  47
1 1 3  30.22  2.958  53
0 2 4  35.12  2.555  40
2 0 0  39.62  2.275  100
1 1 5  40.66  2.219  64
0 4 5  58.06  1.589  23
2 0 8  69.61  1.351  26
2 4 5  72.58  1.302  24

***

No. 6
This entry pairs a crystal structure of TiAlAu6 with its theoretical powder diffraction line list. Radiation: λ = 1.5418 Å (Cu Kα). Structure: DFT lattice parameters and positions (PBE).

Atomic structure:
```
data_TiAlAu6
_chemical_formula_sum 'Ti2 Al2 Au12'
_symmetry_space_group_name_H-M 'C 1 2/m 1'
_symmetry_Int_Tables_number 12
_symmetry_space_group_name_Hall '-C 2y'
_cell_length_a 9.1166
_cell_length_b 4.2572
_cell_length_c 7.8656
_cell_angle_alpha 90.00
_cell_angle_beta 114.96
_cell_angle_gamma 90.00
loop_
_atom_site_label
_atom_site_type_symbol
_atom_site_fract_x
_atom_site_fract_y
_atom_site_fract_z
_atom_site_occupancy
Ti1 Ti 0.0000 0.0000 0.0000 1
Al1 Al 0.0000 0.0000 0.5000 1
Au1 Au 0.0070 0.5000 0.7439 1
Au2 Au 0.2311 0.0000 0.3700 1
Au3 Au 0.2472 0.5000 0.1264 1
```

Largest 8 diffraction maxima, sorted by position, 2θ from 10° to 90°:
(hkl)  2θ (°)  d/Å  Rel. int.
1 1 0  23.51  3.785  16
1 1 2  37.86  2.376  100
3 1 -2  38.15  2.359  95
0 2 0  42.47  2.129  37
4 0 0  43.82  2.066  32
2 0 -4  46.17  1.966  28
4 2 0  62.66  1.483  22
2 2 -4  64.52  1.444  21

***

No. 7
This entry pairs a crystal structure of Ti5Al4Au with its theoretical powder diffraction line list. Radiation: λ = 1.5418 Å (Cu Kα). Structure: DFT lattice parameters and positions (PBE).

Atomic structure:
```
data_Ti5Al4Au
_chemical_formula_sum 'Ti10 Al8 Au2'
_symmetry_space_group_name_H-M 'I 4'
_symmetry_Int_Tables_number 79
_symmetry_space_group_name_Hall 'I 4'
_cell_length_a 8.0742
_cell_length_b 8.0742
_cell_length_c 5.4827
_cell_angle_alpha 90.00
_cell_angle_beta 90.00
_cell_angle_gamma 90.00
loop_
_atom_site_label
_atom_site_type_symbol
_atom_site_fract_x
_atom_site_fract_y
_atom_site_fract_z
_atom_site_occupancy
Ti1 Ti 0.0000 0.0000 0.0000 1
Ti2 Ti 0.0633 0.6668 0.2071 1
Al1 Al 0.1072 0.7558 0.7091 1
Au1 Au 0.0000 0.0000 0.4554 1
```

Largest 8 diffraction maxima, sorted by position, 2θ from 10° to 90°:
(hkl)  2θ (°)  d/Å  Rel. int.
1 1 0  15.52  5.709  72
1 0 1  19.57  4.536  77
2 0 0  22.02  4.037  66
1 2 1  29.62  3.016  65
3 1 0  35.15  2.553  100
1 1 2  36.35  2.471  79
2 0 2  39.74  2.268  41
2 2 2  45.90  1.977  42

***

No. 8
This entry pairs a crystal structure of TiAl2Au2 with its theoretical powder diffraction line list. Radiation: λ = 1.5418 Å (Cu Kα). Structure: DFT lattice parameters and positions (PBE).

Atomic structure:
```
data_TiAl2Au2
_chemical_formula_sum 'Ti2 Al4 Au4'
_symmetry_space_group_name_H-M 'P 4/m b m'
_symmetry_Int_Tables_number 127
_symmetry_space_group_name_Hall '-P 4 2ab'
_cell_length_a 7.4630
_cell_length_b 7.4630
_cell_length_c 3.0778
_cell_angle_alpha 90.00
_cell_angle_beta 90.00
_cell_angle_gamma 90.00
loop_
_atom_site_label
_atom_site_type_symbol
_atom_site_fract_x
_atom_site_fract_y
_atom_site_fract_z
_atom_site_occupancy
Ti1 Ti 0.0000 0.0000 0.0000 1
Al1 Al 0.1683 0.3317 0.5000 1
Au1 Au 0.1341 0.6341 0.0000 1
```

Largest 8 diffraction maxima, sorted by position, 2θ from 10° to 90°:
(hkl)  2θ (°)  d/Å  Rel. int.
1 1 0  16.80  5.277  36
2 1 0  26.71  3.338  80
0 0 1  29.01  3.078  39
3 1 0  38.13  2.360  42
2 1 1  39.84  2.263  100
3 1 1  48.62  1.873  28
3 2 1  53.34  1.718  20
5 2 1  75.19  1.264  21

***

No. 9
This entry pairs a crystal structure of AlTlAu6 with its theoretical powder diffraction line list. Radiation: λ = 1.5418 Å (Cu Kα). Structure: DFT lattice parameters and positions (PBE).

Atomic structure:
```
data_AlTlAu6
_chemical_formula_sum 'Al1 Tl1 Au6'
_symmetry_space_group_name_H-M 'P 4/m m m'
_symmetry_Int_Tables_number 123
_symmetry_space_group_name_Hall '-P 4 2'
_cell_length_a 4.0617
_cell_length_b 4.0617
_cell_length_c 10.1451
_cell_angle_alpha 90.00
_cell_angle_beta 90.00
_cell_angle_gamma 90.00
loop_
_atom_site_label
_atom_site_type_symbol
_atom_site_fract_x
_atom_site_fract_y
_atom_site_fract_z
_atom_site_occupancy
Al1 Al 0.0000 0.0000 0.0000 1
Tl1 Tl 0.0000 0.0000 0.5000 1
Au1 Au 0.0000 0.5000 0.1622 1
Au2 Au 0.5000 0.5000 0.3661 1
```

Largest 8 diffraction maxima, sorted by position, 2θ from 10° to 90°:
(hkl)  2θ (°)  d/Å  Rel. int.
0 0 3  26.35  3.382  24
1 1 1  32.40  2.763  100
1 0 3  34.51  2.599  29
1 1 2  35.93  2.499  31
1 1 3  41.24  2.189  64
1 0 4  42.00  2.151  26
2 0 0  44.62  2.031  59
2 2 0  64.94  1.436  21

***

No. 10
This entry pairs a crystal structure of AlTl2Au with its theoretical powder diffraction line list. Radiation: λ = 1.5418 Å (Cu Kα). Structure: DFT lattice parameters and positions (PBE).

Atomic structure:
```
data_AlTl2Au
_chemical_formula_sum 'Al2 Tl4 Au2'
_symmetry_space_group_name_H-M 'C 1 m 1'
_symmetry_Int_Tables_number 8
_symmetry_space_group_name_Hall 'C -2y'
_cell_length_a 8.2616
_cell_length_b 3.9066
_cell_length_c 7.1522
_cell_angle_alpha 90.00
_cell_angle_beta 110.39
_cell_angle_gamma 90.00
loop_
_atom_site_label
_atom_site_type_symbol
_atom_site_fract_x
_atom_site_fract_y
_atom_site_fract_z
_atom_site_occupancy
Al1 Al 0.0000 0.0000 0.0000 1
Tl1 Tl 0.0682 0.5000 0.6858 1
Tl2 Tl 0.2494 0.5000 0.3328 1
Au1 Au 0.3174 0.0000 0.0223 1
```

Largest 8 diffraction maxima, sorted by position, 2θ from 10° to 90°:
(hkl)  2θ (°)  d/Å  Rel. int.
1 1 0  25.54  3.488  46
2 0 -2  28.51  3.131  61
2 0 1  30.42  2.939  64
1 1 1  30.69  2.913  100
1 1 -2  34.06  2.632  99
3 1 -1  40.09  2.249  87
0 0 3  40.36  2.235  40
0 2 0  46.49  1.953  28

***

No. 11
This entry pairs a crystal structure of Al3TlAu10 with its theoretical powder diffraction line list. Radiation: λ = 1.5418 Å (Cu Kα). Structure: DFT lattice parameters and positions (PBE).

Atomic structure:
```
data_Al3TlAu10
_chemical_formula_sum 'Al6 Tl2 Au20'
_symmetry_space_group_name_H-M 'P -1'
_symmetry_Int_Tables_number 2
_symmetry_space_group_name_Hall '-P 1'
_cell_length_a 8.1919
_cell_length_b 9.4353
_cell_length_c 9.4354
_cell_angle_alpha 61.13
_cell_angle_beta 64.37
_cell_angle_gamma 64.35
loop_
_atom_site_label
_atom_site_type_symbol
_atom_site_fract_x
_atom_site_fract_y
_atom_site_fract_z
_atom_site_occupancy
Al1 Al 0.1884 0.2488 0.2504 1
Al2 Al 0.1881 0.7509 0.7491 1
Al3 Al 0.2552 0.7429 0.2439 1
Tl1 Tl 0.2398 0.2594 0.7601 1
Au1 Au 0.1282 0.1045 0.6042 1
Au2 Au 0.1453 0.0742 0.1341 1
Au3 Au 0.1451 0.6336 0.5752 1
Au4 Au 0.1681 0.4661 0.3583 1
Au5 Au 0.1678 0.8576 0.9672 1
Au6 Au 0.3179 0.4998 0.9997 1
Au7 Au 0.3351 0.8954 0.3958 1
Au8 Au 0.4916 0.1440 0.0310 1
Au9 Au 0.4918 0.5323 0.6430 1
Au10 Au 0.5004 0.1495 0.3496 1
```

Largest 8 diffraction maxima, sorted by position, 2θ from 10° to 90°:
(hkl)  2θ (°)  d/Å  Rel. int.
2 1 3  31.41  2.848  40
1 0 3  32.64  2.743  55
0 0 3  33.94  2.641  57
3 1 2  34.14  2.626  37
2 2 -1  36.20  2.481  48
3 0 0  38.15  2.359  61
3 4 2  42.71  2.117  100
0 2 4  42.99  2.104  53

***

No. 12
This entry pairs a crystal structure of Tm3Al4Au4 with its theoretical powder diffraction line list. Radiation: λ = 1.5418 Å (Cu Kα). Structure: DFT lattice parameters and positions (PBE).

Atomic structure:
```
data_Tm3Al4Au4
_chemical_formula_sum 'Tm6 Al8 Au8'
_symmetry_space_group_name_H-M 'I m m m'
_symmetry_Int_Tables_number 71
_symmetry_space_group_name_Hall '-I 2 2'
_cell_length_a 4.2305
_cell_length_b 7.1619
_cell_length_c 14.4596
_cell_angle_alpha 90.00
_cell_angle_beta 90.00
_cell_angle_gamma 90.00
loop_
_atom_site_label
_atom_site_type_symbol
_atom_site_fract_x
_atom_site_fract_y
_atom_site_fract_z
_atom_site_occupancy
Tm1 Tm 0.0000 0.0000 0.0000 1
Tm2 Tm 0.0000 0.5000 0.1192 1
Al1 Al 0.0000 0.3062 0.3265 1
Au1 Au 0.0000 0.0000 0.2202 1
Au2 Au 0.0000 0.2045 0.5000 1
```

Largest 8 diffraction maxima, sorted by position, 2θ from 10° to 90°:
(hkl)  2θ (°)  d/Å  Rel. int.
0 2 2  27.80  3.209  17
1 0 3  28.06  3.179  23
1 2 1  33.38  2.685  100
1 1 4  34.97  2.566  77
2 0 0  42.75  2.115  26
1 3 2  45.38  1.998  20
1 2 5  45.68  1.986  21
1 2 9  67.64  1.385  18

***

No. 13
This entry pairs a crystal structure of Tm2Al3Au4 with its theoretical powder diffraction line list. Radiation: λ = 1.5418 Å (Cu Kα). Structure: DFT lattice parameters and positions (PBE).

Atomic structure:
```
data_Tm2Al3Au4
_chemical_formula_sum 'Tm4 Al6 Au8'
_symmetry_space_group_name_H-M 'P 1 21/c 1'
_symmetry_Int_Tables_number 14
_symmetry_space_group_name_Hall '-P 2ybc'
_cell_length_a 6.6969
_cell_length_b 7.5200
_cell_length_c 7.2236
_cell_angle_alpha 90.00
_cell_angle_beta 107.77
_cell_angle_gamma 90.00
loop_
_atom_site_label
_atom_site_type_symbol
_atom_site_fract_x
_atom_site_fract_y
_atom_site_fract_z
_atom_site_occupancy
Tm1 Tm 0.1896 0.1942 0.0575 1
Al1 Al 0.2350 0.5949 0.2391 1
Al2 Al 0.5000 0.0000 0.5000 1
Au1 Au 0.1152 0.5845 0.8266 1
Au2 Au 0.4529 0.6528 0.6213 1
```

Largest 8 diffraction maxima, sorted by position, 2θ from 10° to 90°:
(hkl)  2θ (°)  d/Å  Rel. int.
1 1 1  24.76  3.596  62
0 2 1  27.03  3.299  48
2 1 -2  34.13  2.627  66
1 2 -2  34.99  2.565  30
1 1 2  35.30  2.543  100
2 2 -1  36.20  2.482  77
0 3 1  38.21  2.355  34
1 1 -3  39.35  2.290  35